(1)
# Li2Ag2Pd4N
Theoretical PXRD pattern, copper Kα. Input: a structure optimized by DFT (PBE).
Intensities are scaled so that the largest is 100.

Atomic structure:
```
data_Li2Ag2Pd4N
_cell_length_a 5.672
_cell_length_b 5.672
_cell_length_c 8.177
_cell_angle_alpha 90.00
_cell_angle_beta 90.00
_cell_angle_gamma 90.00
_space_group_name_H-M_alt 'I 4/m m m'
_space_group_IT_number 139
_space_group_name_Hall '-I 4 2'
loop_
_atom_site_label
_atom_site_fract_x
_atom_site_fract_y
_atom_site_fract_z
_atom_site_occupancy
Li1 0.000 0.000 0.244 1
Ag1 0.000 0.500 0.250 1
Pd1 0.245 0.245 0.000 1
N1 0.000 0.000 0.500 1
```

Peak list (10 most intense, 2θ from 10° to 80°, low angle first)
Position (°2θ)	d [Å]	I_rel
21.74	4.089	12
22.17	4.010	20
31.24	2.863	22
38.64	2.330	100
44.31	2.044	18
45.22	2.005	34
65.17	1.432	22
65.87	1.418	11
77.75	1.228	12
79.05	1.211	23



(2)
# NaLi4Ag3
Theoretical PXRD pattern, copper Kα. Input: a structure optimized by DFT (PBE).
Intensities are scaled so that the largest is 100.

Atomic structure:
```
data_NaLi4Ag3
_cell_length_a 9.257
_cell_length_b 6.610
_cell_length_c 4.627
_cell_angle_alpha 90.00
_cell_angle_beta 90.00
_cell_angle_gamma 90.00
_space_group_name_H-M_alt 'P m m a'
_space_group_IT_number 51
loop_
_space_group_symop_operation_xyz
'x,y,z'
'-x,-y,-z'
'-x+1/2,-y,z'
'x+1/2,y,-z'
'x+1/2,-y,-z'
'-x+1/2,y,z'
'-x,y,-z'
'x,-y,z'
loop_
_atom_site_label
_atom_site_fract_x
_atom_site_fract_y
_atom_site_fract_z
_atom_site_occupancy
Na1 0.000 0.000 0.000 1
Li1 0.000 0.273 0.500 1
Li2 0.250 0.273 0.001 1
Ag1 0.000 0.500 0.000 1
Ag2 0.250 0.000 0.501 1
Ag3 0.250 0.500 0.502 1
```

Peak list (10 most intense, 2θ from 10° to 80°, low angle first)
Position (°2θ)	d [Å]	I_rel
13.40	6.610	19
23.47	3.791	19
26.98	3.305	52
27.25	3.272	100
38.72	2.325	96
38.92	2.314	48
48.00	1.896	41
63.02	1.475	17
63.44	1.466	17
70.36	1.338	30



(3)
# NaLi4Ag
Theoretical PXRD pattern, copper Kα. Input: a structure optimized by DFT (PBE).
Intensities are scaled so that the largest is 100.

Atomic structure:
```
data_NaLi4Ag
_cell_length_a 3.356
_cell_length_b 3.553
_cell_length_c 10.425
_cell_angle_alpha 90.00
_cell_angle_beta 90.68
_cell_angle_gamma 90.00
_space_group_name_H-M_alt 'P 1 2/m 1'
_space_group_IT_number 10
loop_
_space_group_symop_operation_xyz
'x,y,z'
'-x,-y,-z'
'-x,y,-z'
'x,-y,z'
loop_
_atom_site_label
_atom_site_fract_x
_atom_site_fract_y
_atom_site_fract_z
_atom_site_occupancy
Na1 0.000 0.000 0.000 1
Li1 0.005 0.000 0.629 1
Li2 0.494 0.500 0.220 1
Ag1 0.500 0.500 0.500 1
```

Peak list (10 most intense, 2θ from 10° to 80°, low angle first)
Position (°2θ)	d [Å]	I_rel
17.01	5.212	100
26.51	3.362	88
27.83	3.206	32
28.03	3.184	31
36.16	2.484	43
36.84	2.440	45
37.02	2.428	20
40.69	2.217	22
40.98	2.202	21
51.49	1.775	20



(4)
# Na2LiAg3
Theoretical PXRD pattern, copper Kα. Input: a structure optimized by DFT (PBE).
Intensities are scaled so that the largest is 100.

Atomic structure:
```
data_Na2LiAg3
_cell_length_a 9.563
_cell_length_b 5.729
_cell_length_c 5.567
_cell_angle_alpha 90.00
_cell_angle_beta 124.27
_cell_angle_gamma 90.00
_space_group_name_H-M_alt 'C 1 2/m 1'
_space_group_IT_number 12
loop_
_space_group_symop_operation_xyz
'x,y,z'
'-x,-y,-z'
'-x,y,-z'
'x,-y,z'
'x+1/2,y+1/2,z'
'-x+1/2,-y+1/2,-z'
'-x+1/2,y+1/2,-z'
'x+1/2,-y+1/2,z'
loop_
_atom_site_label
_atom_site_fract_x
_atom_site_fract_y
_atom_site_fract_z
_atom_site_occupancy
Na1 0.122 0.000 0.377 1
Li1 0.000 0.500 0.000 1
Ag1 0.000 0.500 0.500 1
Ag2 0.250 0.250 0.000 1
```

Peak list (10 most intense, 2θ from 10° to 80°, low angle first)
Position (°2θ)	d [Å]	I_rel
19.14	4.638	16
19.72	4.502	100
22.27	3.992	19
32.15	2.784	24
36.97	2.432	61
37.44	2.402	39
38.83	2.319	46
39.16	2.300	23
40.06	2.251	20
45.44	1.996	21



(5)
# LiNd3Ag3
Theoretical PXRD pattern, copper Kα. Input: a structure optimized by DFT (PBE).
Intensities are scaled so that the largest is 100.

Atomic structure:
```
data_LiNd3Ag3
_cell_length_a 3.667
_cell_length_b 4.807
_cell_length_c 20.217
_cell_angle_alpha 90.00
_cell_angle_beta 90.00
_cell_angle_gamma 90.00
_space_group_name_H-M_alt 'I m m 2'
_space_group_IT_number 44
loop_
_space_group_symop_operation_xyz
'x,y,z'
'-x,-y,z'
'-x,y,z'
'x,-y,z'
'x+1/2,y+1/2,z+1/2'
'-x+1/2,-y+1/2,z+1/2'
'-x+1/2,y+1/2,z+1/2'
'x+1/2,-y+1/2,z+1/2'
loop_
_atom_site_label
_atom_site_fract_x
_atom_site_fract_y
_atom_site_fract_z
_atom_site_occupancy
Li1 0.000 0.000 0.000 1
Nd1 0.000 0.000 0.428 1
Nd2 0.000 0.500 0.242 1
Nd3 0.000 0.500 0.629 1
Ag1 0.000 0.000 0.872 1
Ag2 0.000 0.500 0.068 1
Ag3 0.000 0.500 0.793 1
```

Peak list (10 most intense, 2θ from 10° to 80°, low angle first)
Position (°2θ)	d [Å]	I_rel
26.45	3.369	20
31.94	2.802	100
32.97	2.716	59
35.54	2.526	40
36.29	2.476	60
37.41	2.404	41
49.72	1.834	18
50.71	1.800	35
63.09	1.474	23
63.83	1.458	24



(6)
# Li3Nd3Ag8
Theoretical PXRD pattern, copper Kα. Input: a structure optimized by DFT (PBE).
Intensities are scaled so that the largest is 100.

Atomic structure:
```
data_Li3Nd3Ag8
_cell_length_a 4.722
_cell_length_b 9.394
_cell_length_c 13.539
_cell_angle_alpha 90.00
_cell_angle_beta 90.00
_cell_angle_gamma 90.00
_space_group_name_H-M_alt 'I m m m'
_space_group_IT_number 71
_space_group_name_Hall '-I 2 2'
loop_
_atom_site_label
_atom_site_fract_x
_atom_site_fract_y
_atom_site_fract_z
_atom_site_occupancy
Li1 0.000 0.000 0.000 1
Li2 0.000 0.309 0.500 1
Nd1 0.000 0.500 0.000 1
Nd2 0.000 0.500 0.285 1
Ag1 0.000 0.148 0.338 1
Ag2 0.000 0.203 0.123 1
```

Peak list (10 most intense, 2θ from 10° to 80°, low angle first)
Position (°2θ)	d [Å]	I_rel
13.08	6.770	31
27.33	3.263	27
32.61	2.746	49
33.44	2.680	32
33.95	2.640	56
34.36	2.610	100
34.87	2.573	17
38.11	2.361	48
38.32	2.349	21
51.01	1.790	31



(7)
# LiNd3Ag2
Theoretical PXRD pattern, copper Kα. Input: a structure optimized by DFT (PBE).
Intensities are scaled so that the largest is 100.

Atomic structure:
```
data_LiNd3Ag2
_cell_length_a 5.261
_cell_length_b 15.930
_cell_length_c 3.826
_cell_angle_alpha 90.00
_cell_angle_beta 90.00
_cell_angle_gamma 90.00
_space_group_name_H-M_alt 'C m m m'
_space_group_IT_number 65
_space_group_name_Hall '-C 2 2'
loop_
_atom_site_label
_atom_site_fract_x
_atom_site_fract_y
_atom_site_fract_z
_atom_site_occupancy
Li1 0.000 0.000 0.000 1
Nd1 0.000 0.172 0.500 1
Nd2 0.000 0.500 0.500 1
Ag1 0.000 0.343 0.000 1
```

Peak list (10 most intense, 2θ from 10° to 80°, low angle first)
Position (°2θ)	d [Å]	I_rel
23.81	3.737	11
33.52	2.674	100
33.76	2.655	23
34.08	2.631	24
47.53	1.913	9
48.73	1.869	16
59.77	1.547	9
60.23	1.536	16
60.65	1.527	18
70.44	1.337	11



(8)
# Li7Nd3Ag4
Theoretical PXRD pattern, copper Kα. Input: a structure optimized by DFT (PBE).
Intensities are scaled so that the largest is 100.

Atomic structure:
```
data_Li7Nd3Ag4
_cell_length_a 16.363
_cell_length_b 4.342
_cell_length_c 10.522
_cell_angle_alpha 90.00
_cell_angle_beta 125.13
_cell_angle_gamma 90.00
_space_group_name_H-M_alt 'C 1 2/m 1'
_space_group_IT_number 12
loop_
_space_group_symop_operation_xyz
'x,y,z'
'-x,-y,-z'
'-x,y,-z'
'x,-y,z'
'x+1/2,y+1/2,z'
'-x+1/2,-y+1/2,-z'
'-x+1/2,y+1/2,-z'
'x+1/2,-y+1/2,z'
loop_
_atom_site_label
_atom_site_fract_x
_atom_site_fract_y
_atom_site_fract_z
_atom_site_occupancy
Li1 0.000 0.000 0.000 1
Li2 0.015 0.500 0.812 1
Li3 0.161 0.000 0.930 1
Li4 0.175 0.500 0.508 1
Nd1 0.000 0.000 0.500 1
Nd2 0.202 0.500 0.220 1
Ag1 0.108 0.000 0.322 1
Ag2 0.155 0.500 0.759 1
```

Peak list (10 most intense, 2θ from 10° to 80°, low angle first)
Position (°2θ)	d [Å]	I_rel
10.28	8.606	40
20.64	4.303	68
26.26	3.394	41
28.69	3.111	64
32.61	2.746	40
32.90	2.723	83
33.86	2.648	37
34.35	2.611	100
40.28	2.239	42
41.60	2.171	41



(9)
# LiNd2Ag6
Theoretical PXRD pattern, copper Kα. Input: a structure optimized by DFT (PBE).
Intensities are scaled so that the largest is 100.

Atomic structure:
```
data_LiNd2Ag6
_cell_length_a 6.3036
_cell_length_b 6.3036
_cell_length_c 5.6729
_cell_angle_alpha 90.00
_cell_angle_beta 90.00
_cell_angle_gamma 120.00
_space_group_name_H-M_alt 'P -3 m 1'
_space_group_IT_number 164
_space_group_name_Hall '-P 3 2"'
loop_
_atom_site_label
_atom_site_fract_x
_atom_site_fract_y
_atom_site_fract_z
_atom_site_occupancy
Li1 0.0000 0.0000 0.0000 1
Nd1 0.3333 0.6667 0.1717 1
Ag1 0.1779 0.3558 0.6860 1
```

Peak list (10 most intense, 2θ from 10° to 80°, low angle first)
Position (°2θ)	d [Å]	I_rel
31.54	2.836	17
32.50	2.755	12
32.81	2.730	26
35.67	2.517	27
36.53	2.460	100
46.15	1.967	13
55.04	1.669	10
56.78	1.622	11
58.58	1.576	19
71.04	1.327	12



(10)
# Rb2LiNiAg
Theoretical PXRD pattern, copper Kα. Input: a structure optimized by DFT (PBE).
Intensities are scaled so that the largest is 100.

Atomic structure:
```
data_Rb2LiNiAg
_cell_length_a 6.713
_cell_length_b 6.713
_cell_length_c 4.916
_cell_angle_alpha 90.00
_cell_angle_beta 90.00
_cell_angle_gamma 90.00
_space_group_name_H-M_alt 'P 4/m m m'
_space_group_IT_number 123
_space_group_name_Hall '-P 4 2'
loop_
_atom_site_label
_atom_site_fract_x
_atom_site_fract_y
_atom_site_fract_z
_atom_site_occupancy
Rb1 0.000 0.500 0.000 1
Li1 0.000 0.000 0.500 1
Ni1 0.500 0.500 0.500 1
Ag1 0.500 0.500 0.000 1
```

Peak list (10 most intense, 2θ from 10° to 80°, low angle first)
Position (°2θ)	d [Å]	I_rel
13.19	6.713	100
18.04	4.916	38
26.09	3.415	24
26.56	3.357	84
29.76	3.002	29
32.29	2.772	36
36.56	2.458	18
37.91	2.373	32
45.75	1.983	37
53.68	1.707	22



(11)
# LiAg5O4
Theoretical PXRD pattern, copper Kα. Input: a structure optimized by DFT (PBE).
Intensities are scaled so that the largest is 100.

Atomic structure:
```
data_LiAg5O4
_cell_length_a 6.680
_cell_length_b 8.507
_cell_length_c 5.191
_cell_angle_alpha 90.00
_cell_angle_beta 90.00
_cell_angle_gamma 90.00
_space_group_name_H-M_alt 'P m m n'
_space_group_IT_number 59
loop_
_space_group_symop_operation_xyz
'x,y,z'
'-x,-y,-z'
'-x+1/2,-y+1/2,z'
'x+1/2,y+1/2,-z'
'x+1/2,-y,-z'
'-x+1/2,y,z'
'-x,y+1/2,-z'
'x,-y+1/2,z'
loop_
_atom_site_label
_atom_site_fract_x
_atom_site_fract_y
_atom_site_fract_z
_atom_site_occupancy
Li1 0.250 0.250 0.240 1
Ag1 0.042 0.084 0.745 1
Ag2 0.250 0.750 0.849 1
O1 0.002 0.750 0.563 1
O2 0.250 0.016 0.063 1
```

Peak list (10 most intense, 2θ from 10° to 80°, low angle first)
Position (°2θ)	d [Å]	I_rel
21.68	4.099	42
26.69	3.340	26
33.60	2.667	60
34.13	2.627	22
34.36	2.610	20
34.55	2.596	35
36.09	2.489	100
44.21	2.049	31
45.46	1.995	35
49.39	1.845	35



(12)
# LiAg4P4O12
Theoretical PXRD pattern, copper Kα. Input: a structure optimized by DFT (PBE).
Intensities are scaled so that the largest is 100.

Atomic structure:
```
data_LiAg4P4O12
_cell_length_a 4.247
_cell_length_b 6.051
_cell_length_c 13.608
_cell_angle_alpha 85.26
_cell_angle_beta 87.23
_cell_angle_gamma 72.09
_space_group_name_H-M_alt 'P 1'
_space_group_IT_number 1
loop_
_space_group_symop_operation_xyz
'x,y,z'
loop_
_atom_site_label
_atom_site_fract_x
_atom_site_fract_y
_atom_site_fract_z
_atom_site_occupancy
Li1 0.000 0.000 0.000 1
Ag1 0.264 0.823 0.235 1
Ag2 0.627 0.139 0.238 1
Ag3 0.684 0.822 0.627 1
Ag4 0.866 0.198 0.720 1
P1 0.019 0.694 0.847 1
P2 0.490 0.344 0.514 1
P3 0.539 0.544 0.987 1
P4 0.931 0.520 0.380 1
O1 0.066 0.934 0.843 1
O2 0.143 0.423 0.293 1
O3 0.163 0.535 0.471 1
O4 0.298 0.700 0.055 1
O5 0.343 0.502 0.892 1
O6 0.423 0.114 0.532 1
O7 0.590 0.449 0.601 1
O8 0.669 0.751 0.369 1
O9 0.744 0.712 0.935 1
O10 0.764 0.321 0.426 1
O11 0.765 0.311 0.021 1
O12 0.935 0.598 0.757 1
```

Peak list (10 most intense, 2θ from 10° to 80°, low angle first)
Position (°2θ)	d [Å]	I_rel
13.06	6.779	100
19.53	4.545	45
19.64	4.519	39
20.97	4.236	54
23.14	3.843	82
25.94	3.434	40
30.02	2.977	60
33.01	2.713	40
33.52	2.673	62
33.72	2.658	72



Question: Number 7 is which compound?
Answer: LiNd3Ag2